1.
Structure and simulated XRD peak list of LaZr2Se (a crystal structure in Alexandria, relaxed with GGA-PBE; copper Kα).

Structure:
Cell lengths 9.574, 9.574, 9.574 Å; angles 21.46, 21.46, 21.46 degrees
Element x y z (fractional)
La 0.000 0.000 0.000
Zr 0.232 0.232 0.232
Zr 0.480 0.480 0.480
Se 0.749 0.749 0.749

Peak list (6 most intense, 2θ from 10° to 80°, sorted by position)
- 2θ = 31.7°, d 2.825, intensity 100
- 2θ = 38.5°, d 2.337, intensity 12
- 2θ = 38.9°, d 2.317, intensity 48
- 2θ = 51.3°, d 1.782, intensity 27
- 2θ = 61.5°, d 1.507, intensity 14
- 2θ = 65.9°, d 1.417, intensity 14

***

2.
Structure and simulated XRD peak list of Pm5Tm2Th3 (a crystal structure in Alexandria, relaxed with GGA-PBE; copper Kα).

Structure:
Cell lengths 6.232, 6.232, 11.373 Å; angles 90.01, 90.01, 47.99 degrees
Element x y z (fractional)
Pm 0.000 0.000 0.000
Pm 0.199 0.199 0.400
Pm 0.302 0.302 0.102
Pm 0.698 0.698 0.898
Pm 0.801 0.801 0.600
Tm 0.402 0.402 0.795
Tm 0.598 0.598 0.205
Th 0.098 0.098 0.699
Th 0.500 0.500 0.500
Th 0.902 0.902 0.301

Peak list (6 most intense, 2θ from 10° to 80°, sorted by position)
- 2θ = 30.5°, d 2.934, intensity 100
- 2θ = 35.3°, d 2.545, intensity 34
- 2θ = 35.4°, d 2.535, intensity 17
- 2θ = 50.8°, d 1.796, intensity 24
- 2θ = 60.3°, d 1.534, intensity 29
- 2θ = 60.5°, d 1.530, intensity 15

***

3.
Structure and simulated XRD peak list of Cs2NaAu2 (a crystal structure in Alexandria, relaxed with GGA-PBE; copper Kα).

Structure:
Cell lengths 7.249, 7.249, 8.934 Å; angles 100.35, 100.35, 59.75 degrees
Element x y z (fractional)
Cs 0.007 0.287 0.138
Cs 0.287 0.007 0.638
Cs 0.713 0.993 0.362
Cs 0.993 0.713 0.862
Na 0.428 0.572 0.250
Na 0.572 0.428 0.750
Au 0.199 0.508 0.490
Au 0.492 0.801 0.010
Au 0.508 0.199 0.990
Au 0.801 0.492 0.510

Peak list (6 most intense, 2θ from 10° to 80°, sorted by position)
- 2θ = 16.6°, d 5.344, intensity 48
- 2θ = 20.3°, d 4.370, intensity 32
- 2θ = 29.0°, d 3.075, intensity 37
- 2θ = 29.4°, d 3.038, intensity 100
- 2θ = 31.5°, d 2.841, intensity 47
- 2θ = 32.5°, d 2.752, intensity 35

***

4.
Structure and simulated XRD peak list of Pm2YSi2Pt7 (a crystal structure in Alexandria, relaxed with GGA-PBE; copper Kα).

Structure:
Cell lengths 4.082, 4.082, 13.858 Å; angles 95.63, 95.63, 89.49 degrees
Element x y z (fractional)
Pm 0.106 0.106 0.355
Pm 0.894 0.894 0.645
Y 0.000 0.000 0.000
Si 0.415 0.415 0.747
Si 0.585 0.585 0.253
Pt 0.054 0.553 0.159
Pt 0.380 0.380 0.576
Pt 0.447 0.946 0.841
Pt 0.500 0.500 0.000
Pt 0.553 0.054 0.159
Pt 0.620 0.620 0.424
Pt 0.946 0.447 0.841

Peak list (6 most intense, 2θ from 10° to 80°, sorted by position)
- 2θ = 31.8°, d 2.812, intensity 40
- 2θ = 33.8°, d 2.650, intensity 39
- 2θ = 34.5°, d 2.599, intensity 65
- 2θ = 35.5°, d 2.527, intensity 82
- 2θ = 36.9°, d 2.433, intensity 100
- 2θ = 44.4°, d 2.038, intensity 73

***

5.
Structure and simulated XRD peak list of LiCu3 (a crystal structure in Alexandria, relaxed with GGA-PBE; copper Kα).

Structure:
Cell lengths 2.541, 4.263, 4.481 Å; angles 90.00, 90.00, 90.00 degrees
Element x y z (fractional)
Li 0.000 0.000 0.000
Cu 0.000 0.500 0.670
Cu 0.500 0.000 0.502
Cu 0.500 0.500 0.174

Peak list (6 most intense, 2θ from 10° to 80°, sorted by position)
- 2θ = 19.8°, d 4.481, intensity 30
- 2θ = 20.8°, d 4.263, intensity 25
- 2θ = 40.8°, d 2.210, intensity 31
- 2θ = 42.4°, d 2.131, intensity 43
- 2θ = 45.8°, d 1.983, intensity 54
- 2θ = 46.3°, d 1.962, intensity 100

***

Copy entry 3 word for word.
Structure and simulated XRD peak list of Cs2NaAu2 (a crystal structure in Alexandria, relaxed with GGA-PBE; copper Kα).

Structure:
Cell lengths 7.249, 7.249, 8.934 Å; angles 100.35, 100.35, 59.75 degrees
Element x y z (fractional)
Cs 0.007 0.287 0.138
Cs 0.287 0.007 0.638
Cs 0.713 0.993 0.362
Cs 0.993 0.713 0.862
Na 0.428 0.572 0.250
Na 0.572 0.428 0.750
Au 0.199 0.508 0.490
Au 0.492 0.801 0.010
Au 0.508 0.199 0.990
Au 0.801 0.492 0.510

Peak list (6 most intense, 2θ from 10° to 80°, sorted by position)
- 2θ = 16.6°, d 5.344, intensity 48
- 2θ = 20.3°, d 4.370, intensity 32
- 2θ = 29.0°, d 3.075, intensity 37
- 2θ = 29.4°, d 3.038, intensity 100
- 2θ = 31.5°, d 2.841, intensity 47
- 2θ = 32.5°, d 2.752, intensity 35

***

What is the formula in the second record?
Pm5Tm2Th3

***

Which formula does entry 3 have?
Cs2NaAu2